Diffraction record for Tm2Be2GeO7. The powder XRD pattern is theoretical, not measured: it uses a cell relaxed with PBE and Cu Kα (weighted mean of Kα1 and Kα2).
Intensities are scaled so that the largest is 1000.

Atomic structure:
Cell lengths 7.375, 7.375, 4.785 Å; angles 90.00, 90.00, 90.00 degrees
Space group P-42_1m (No. 113)
Asymmetric unit:
Tm: 0.158 0.342 0.007 [4 per cell]
Be: 0.136 0.636 0.550 [4 per cell]
Ge: 0.000 0.000 0.500 [2 per cell]
O: 0.000 0.500 0.694 [2 per cell]
O: 0.083 0.829 0.722 [8 per cell]
O: 0.142 0.642 0.218 [4 per cell]

Principal peaks in the range 10 to 80 degrees two-theta, most intense first:
hkl	2θ/deg	intensity
2 1 1	33.0	1000
2 1 0	27.0	522
1 1 1	25.3	435
2 1 2	46.9	429
2 0 1	30.6	407
0 0 1	18.5	401
3 1 0	38.6	267
3 1 2	55.0	265
3 3 1	56.3	245
4 0 1	53.2	167

=====

Diffraction record for PrTmS3. The powder XRD pattern is theoretical, not measured: it uses a cell relaxed with PBE and Cu Kα (weighted mean of Kα1 and Kα2).
Intensities are scaled so that the largest is 1000.

Atomic structure:
Cell lengths 11.044, 3.972, 21.581 Å; angles 90.00, 101.55, 90.00 degrees
Space group P2_1/m (No. 11)
Asymmetric unit:
Pr: 0.092 0.250 0.363 [2 per cell]
Pr: 0.202 0.250 0.037 [2 per cell]
Pr: 0.303 0.750 0.735 [2 per cell]
Pr: 0.309 0.250 0.233 [2 per cell]
Tm: 0.030 0.250 0.852 [2 per cell]
Tm: 0.180 0.250 0.547 [2 per cell]
Tm: 0.447 0.250 0.918 [2 per cell]
Tm: 0.477 0.750 0.412 [2 per cell]
S: 0.037 0.250 0.228 [2 per cell]
S: 0.058 0.750 0.945 [2 per cell]
S: 0.085 0.750 0.463 [2 per cell]
S: 0.124 0.250 0.664 [2 per cell]
S: 0.204 0.750 0.135 [2 per cell]
S: 0.253 0.750 0.326 [2 per cell]
S: 0.255 0.250 0.825 [2 per cell]
S: 0.342 0.750 0.599 [2 per cell]
S: 0.355 0.750 0.986 [2 per cell]
S: 0.364 0.250 0.464 [2 per cell]
S: 0.454 0.250 0.133 [2 per cell]
S: 0.494 0.250 0.721 [2 per cell]

Principal peaks in the range 10 to 80 degrees two-theta, most intense first:
hkl	2θ/deg	intensity
2 0 4	25.8	1000
3 0 -2	24.4	727
1 0 -6	25.0	646
3 1 -5	37.1	431
0 2 0	45.7	372
2 1 1	28.7	342
4 0 -8	42.8	258
0 1 6	34.0	257
2 1 -5	33.0	240
1 1 0	23.9	237

=====

Number 1 is which compound?
Tm2Be2GeO7